(1)
For Mg3Fe3As4O16, a structure optimized by DFT (GGA+U) gives the calculated powder X-ray diffraction pattern in this record (Cu Kα (weighted mean of Kα1 and Kα2)).

Largest 6 diffraction maxima, sorted by position, 10 to 90 degrees two-theta:
| index | d (Å) | Rel. int. |
| --- | --- | --- |
| 0 0 4 | 3.786 | 46 |
| 1 1 -3 | 3.698 | 46 |
| 2 1 -1 | 3.325 | 100 |
| 1 1 3 | 3.027 | 51 |
| 0 2 0 | 2.619 | 66 |
| 3 1 -3 | 2.498 | 42 |

Crystal structure
```
data_Mg3Fe3As4O16
_chemical_formula_sum 'Mg6 Fe6 As8 O32'
_cell_length_a 8.6601
_cell_length_b 5.2357
_cell_length_c 16.2742
_cell_angle_alpha 90.00
_cell_angle_beta 111.50
_cell_angle_gamma 90.00
_symmetry_space_group_name_H-M 'P 1 21/c 1'
_symmetry_Int_Tables_number 14
loop_
_symmetry_equiv_pos_as_xyz
'x,y,z'
'-x,-y,-z'
'-x,y+1/2,-z+1/2'
'x,-y+1/2,z+1/2'
loop_
_atom_site_label
_atom_site_type_symbol
_atom_site_fract_x
_atom_site_fract_y
_atom_site_fract_z
Mg1 Mg 0.0000 0.0000 0.0000
Mg2 Mg 0.3164 0.0595 0.2892
Fe1 Fe 0.1979 0.5103 0.3749
Fe2 Fe 0.5000 0.0000 0.5000
As1 As 0.0331 0.0157 0.6488
As2 As 0.4159 0.5012 0.6049
O1 O 0.0104 0.6922 0.6260
O2 O 0.0769 0.1872 0.5735
O3 O 0.1581 0.6055 0.8440
O4 O 0.1858 0.0950 0.7497
O5 O 0.2461 0.5575 0.5115
O6 O 0.3934 0.5796 0.6998
O7 O 0.4290 0.2105 0.9034
O8 O 0.4941 0.7040 0.8936
```


(2)
For MgFe4As2O11, a structure optimized by DFT (GGA+U) gives the calculated powder X-ray diffraction pattern in this record (Cu Kα (weighted mean of Kα1 and Kα2)).

Largest 6 diffraction maxima, sorted by position, 10 to 90 degrees two-theta:
| index | d (Å) | Rel. int. |
| --- | --- | --- |
| 1 0 -1 | 3.596 | 41 |
| 1 0 2 | 3.209 | 100 |
| 0 2 0 | 3.002 | 21 |
| 1 1 -1 | 2.829 | 21 |
| 2 0 1 | 2.659 | 26 |
| 1 -2 0 | 2.618 | 25 |

Crystal structure
```
data_MgFe4As2O11
_chemical_formula_sum 'Mg1 Fe4 As2 O11'
_cell_length_a 5.3738
_cell_length_b 6.4728
_cell_length_c 7.3937
_cell_angle_alpha 68.11
_cell_angle_beta 73.11
_cell_angle_gamma 84.92
_symmetry_space_group_name_H-M 'P 1'
_symmetry_Int_Tables_number 1
loop_
_symmetry_equiv_pos_as_xyz
'x,y,z'
loop_
_atom_site_label
_atom_site_type_symbol
_atom_site_fract_x
_atom_site_fract_y
_atom_site_fract_z
Mg1 Mg 0.0000 0.0000 0.0000
Fe1 Fe 0.0974 0.3385 0.4885
Fe2 Fe 0.3412 0.5731 0.9777
Fe3 Fe 0.5565 0.6873 0.3140
Fe4 Fe 0.6805 0.1997 0.3522
As1 As 0.4970 0.1415 0.8416
As2 As 0.9544 0.7660 0.6555
O1 O 0.0321 0.7575 0.8694
O2 O 0.1750 0.6150 0.5322
O3 O 0.2498 0.2883 0.9414
O4 O 0.3855 0.8791 0.0199
O5 O 0.4145 0.4181 0.2551
O6 O 0.4190 0.1562 0.6228
O7 O 0.6478 0.6729 0.7057
O8 O 0.7119 0.9858 0.2333
O9 O 0.8184 0.2087 0.7913
O10 O 0.8614 0.4619 0.3278
O11 O 0.9924 0.0422 0.4840
```


(3)
For MgFe4As2O11, a structure optimized by DFT (GGA+U) gives the calculated powder X-ray diffraction pattern in this record (Cu Kα (weighted mean of Kα1 and Kα2)).

Largest 6 diffraction maxima, sorted by position, 10 to 90 degrees two-theta:
| index | d (Å) | Rel. int. |
| --- | --- | --- |
| 1 0 1 | 3.447 | 100 |
| 1 0 -2 | 3.105 | 60 |
| 1 1 -2 | 3.050 | 41 |
| 1 -2 0 | 2.903 | 50 |
| 2 0 -1 | 2.626 | 43 |
| 0 1 2 | 2.416 | 38 |

Crystal structure
```
data_MgFe4As2O11
_chemical_formula_sum 'Mg1 Fe4 As2 O11'
_cell_length_a 5.3433
_cell_length_b 6.5309
_cell_length_c 6.9342
_cell_angle_alpha 109.25
_cell_angle_beta 103.42
_cell_angle_gamma 98.63
_symmetry_space_group_name_H-M 'P 1'
_symmetry_Int_Tables_number 1
loop_
_symmetry_equiv_pos_as_xyz
'x,y,z'
loop_
_atom_site_label
_atom_site_type_symbol
_atom_site_fract_x
_atom_site_fract_y
_atom_site_fract_z
Mg1 Mg 0.0000 0.0000 0.0000
Fe1 Fe 0.0842 0.5806 0.2151
Fe2 Fe 0.3420 0.1347 0.3692
Fe3 Fe 0.5147 0.6960 0.0054
Fe4 Fe 0.8216 0.9417 0.4757
As1 As 0.5010 0.1554 0.8577
As2 As 0.8688 0.5176 0.6490
O1 O 0.1046 0.5546 0.8832
O2 O 0.1582 0.3125 0.2178
O3 O 0.2471 0.1407 0.6457
O4 O 0.3731 0.9865 0.9753
O5 O 0.4429 0.8123 0.3099
O6 O 0.6106 0.6114 0.7182
O7 O 0.6558 0.4210 0.0418
O8 O 0.7546 0.0516 0.7713
O9 O 0.7586 0.2435 0.4671
O10 O 0.9325 0.8640 0.2121
O11 O 0.9764 0.6779 0.5103
```


(4)
For MgFeAs2O7, a structure optimized by DFT (GGA+U) gives the calculated powder X-ray diffraction pattern in this record (Cu Kα (weighted mean of Kα1 and Kα2)).

Largest 6 diffraction maxima, sorted by position, 10 to 90 degrees two-theta:
| index | d (Å) | Rel. int. |
| --- | --- | --- |
| 0 2 0 | 4.396 | 32 |
| 1 1 1 | 3.243 | 71 |
| 0 2 1 | 3.221 | 100 |
| 2 0 -1 | 2.988 | 47 |
| 2 2 0 | 2.610 | 30 |
| 1 3 2 | 1.699 | 29 |

Crystal structure
```
data_MgFeAs2O7
_chemical_formula_sum 'Mg2 Fe2 As4 O14'
_cell_length_a 6.6397
_cell_length_b 8.7923
_cell_length_c 4.8429
_cell_angle_alpha 90.00
_cell_angle_beta 102.24
_cell_angle_gamma 90.00
_symmetry_space_group_name_H-M 'C 1 2 1'
_symmetry_Int_Tables_number 5
loop_
_symmetry_equiv_pos_as_xyz
'x,y,z'
'-x,y,-z'
'x+1/2,y+1/2,z'
'-x+1/2,y+1/2,-z'
loop_
_atom_site_label
_atom_site_type_symbol
_atom_site_fract_x
_atom_site_fract_y
_atom_site_fract_z
Mg1 Mg 0.0000 0.0000 0.0000
Fe1 Fe 0.0000 0.3778 0.0000
As1 As 0.2360 0.6921 0.4002
O1 O 0.0000 0.7222 0.5000
O2 O 0.0995 0.1848 0.2749
O3 O 0.2338 0.5283 0.2122
O4 O 0.2397 0.8544 0.2042
```


(5)
For MgFeAs2O7, a structure optimized by DFT (GGA+U) gives the calculated powder X-ray diffraction pattern in this record (Cu Kα (weighted mean of Kα1 and Kα2)).

Largest 6 diffraction maxima, sorted by position, 10 to 90 degrees two-theta:
| index | d (Å) | Rel. int. |
| --- | --- | --- |
| 0 2 0 | 4.347 | 28 |
| 2 1 -2 | 3.201 | 69 |
| 1 2 -2 | 3.187 | 100 |
| 1 0 2 | 3.167 | 63 |
| 2 2 0 | 2.666 | 40 |
| 1 2 2 | 2.560 | 25 |

Crystal structure
```
data_MgFeAs2O7
_chemical_formula_sum 'Mg4 Fe4 As8 O28'
_cell_length_a 7.3812
_cell_length_b 8.6942
_cell_length_c 9.7265
_cell_angle_alpha 90.00
_cell_angle_beta 113.97
_cell_angle_gamma 90.00
_symmetry_space_group_name_H-M 'P 1 21/c 1'
_symmetry_Int_Tables_number 14
loop_
_symmetry_equiv_pos_as_xyz
'x,y,z'
'-x,-y,-z'
'-x,y+1/2,-z+1/2'
'x,-y+1/2,z+1/2'
loop_
_atom_site_label
_atom_site_type_symbol
_atom_site_fract_x
_atom_site_fract_y
_atom_site_fract_z
Mg1 Mg 0.2263 0.0762 0.1070
Fe1 Fe 0.3153 0.0563 0.6833
As1 As 0.0646 0.7272 0.7481
As2 As 0.4798 0.7237 0.0398
O1 O 0.0306 0.5964 0.6083
O2 O 0.1329 0.2404 0.7045
O3 O 0.1457 0.5998 0.2224
O4 O 0.2491 0.6440 0.9150
O5 O 0.3621 0.2316 0.5496
O6 O 0.4462 0.6010 0.6045
O7 O 0.4630 0.0841 0.3255
```


(6)
For MgFeAs2O7, a structure optimized by DFT (GGA+U) gives the calculated powder X-ray diffraction pattern in this record (Cu Kα (weighted mean of Kα1 and Kα2)).

Largest 6 diffraction maxima, sorted by position, 10 to 90 degrees two-theta:
| index | d (Å) | Rel. int. |
| --- | --- | --- |
| 0 1 1 | 4.347 | 100 |
| 1 1 1 | 3.779 | 29 |
| 1 1 0 | 3.715 | 62 |
| 1 -1 1 | 3.237 | 78 |
| -1 1 1 | 2.974 | 21 |
| 1 0 2 | 2.772 | 42 |

Crystal structure
```
data_MgFeAs2O7
_chemical_formula_sum 'Mg1 Fe1 As2 O7'
_cell_length_a 5.3613
_cell_length_b 5.6743
_cell_length_c 5.8219
_cell_angle_alpha 77.71
_cell_angle_beta 71.59
_cell_angle_gamma 87.09
_symmetry_space_group_name_H-M 'P 1'
_symmetry_Int_Tables_number 1
loop_
_symmetry_equiv_pos_as_xyz
'x,y,z'
loop_
_atom_site_label
_atom_site_type_symbol
_atom_site_fract_x
_atom_site_fract_y
_atom_site_fract_z
Mg1 Mg 0.0000 0.0000 0.0000
Fe1 Fe 0.8411 0.8762 0.5809
As1 As 0.3183 0.5125 0.7759
As2 As 0.4714 0.1173 0.1509
O1 O 0.0844 0.7318 0.8183
O2 O 0.1817 0.9528 0.2693
O3 O 0.1956 0.2641 0.7330
O4 O 0.3779 0.4233 0.0752
O5 O 0.6106 0.6168 0.5709
O6 O 0.6622 0.0203 0.8921
O7 O 0.6976 0.1115 0.3005
```